For MgMn6Nb4O18, a cell relaxed with PBE+U gives the calculated PXRD pattern in this record (λ = 1.5418 Å (Cu Kα)).

Main lines, sorted by position (10 to 90 degrees two-theta):
2θ (°)	d/Å	I/Imax	index
18.73	4.737	54	0 1 -1
19.09	4.649	100	1 0 -1
22.65	3.925	38	-1 1 2
23.17	3.839	28	0 0 4
24.10	3.693	31	1 0 -3
29.81	2.998	92	1 -1 4
32.10	2.788	68	0 1 4
32.25	2.776	78	1 1 -1
32.86	2.725	69	1 0 -5
33.09	2.707	63	1 -2 0
33.58	2.669	56	-2 1 1
44.27	2.046	32	2 0 3

Crystal structure
Lattice parameters (Å, degrees): 5.3781 5.4417 15.5546 95.98 93.23 118.21
Fractional coordinates of all 29 atoms:
Mg 0.0000 0.0000 0.0000
Mn 0.0929 0.4695 0.5835
Mn 0.3301 0.6536 0.0632
Mn 0.4630 0.5603 0.2866
Mn 0.7365 0.2196 0.1741
Mn 0.7478 0.7892 0.5757
Mn 0.8561 0.8777 0.7795
Nb 0.0937 0.8602 0.2504
Nb 0.3686 0.0750 0.4565
Nb 0.4509 0.1757 0.7143
Nb 0.6499 0.3071 0.9206
O 0.0645 0.0906 0.5053
O 0.0995 0.8345 0.6628
O 0.1364 0.5175 0.1803
O 0.2606 0.2161 0.3391
O 0.2899 0.0757 0.8253
O 0.3039 0.0452 0.1617
O 0.3161 0.7954 0.3462
O 0.3805 0.3229 0.9973
O 0.3926 0.8003 0.5167
O 0.4374 0.4683 0.6616
O 0.7063 0.4004 0.5047
O 0.7102 0.0226 0.0662
O 0.7396 0.8843 0.2345
O 0.7432 0.4905 0.8161
O 0.7450 0.0955 0.6834
O 0.7637 0.0288 0.8979
O 0.7638 0.4723 0.2754
O 0.9790 0.6260 0.9872